Record 1
Starting from a DFT-relaxed cell (PBE, Alexandria), the XRD peak list of KUZnN3 was calculated for copper Kα.
Intensities are scaled so that the largest is 100.

Structural model:
a = 6.988 Å, b = 3.563 Å, c = 9.092 Å
α = 90.00°, β = 110.46°, γ = 90.00°
Space group P2_1/m (No. 11)
Asymmetric unit:
1 K 0.160 0.250 0.211 (multiplicity 2)
2 U 0.364 0.250 0.829 (multiplicity 2)
3 Zn 0.145 0.750 0.559 (multiplicity 2)
4 N 0.057 0.250 0.661 (multiplicity 2)
5 N 0.336 0.750 0.976 (multiplicity 2)
6 N 0.427 0.750 0.714 (multiplicity 2)

Largest 10 diffraction maxima, sorted by position, 5 to 70 degrees two-theta:
(hkl)	d [Å]	I_rel
1 0 -1	6.379	100.0
2 0 -1	3.492	13.4
2 0 -2	3.190	18.5
0 0 3	2.839	12.6
1 1 1	2.790	29.0
1 1 -2	2.751	42.1
0 1 2	2.733	15.9
2 1 0	2.411	13.4
2 1 -3	2.127	15.1
3 1 -1	1.943	13.8

---

Record 2
Starting from a DFT-relaxed cell (PBE, Alexandria), the XRD peak list of Ba3S2I was calculated for copper Kα.
Intensities are scaled so that the largest is 100.

Structural model:
a = 4.921 Å, b = 15.895 Å, c = 12.690 Å
α = 90.00°, β = 90.00°, γ = 90.00°
Space group Cmcm (No. 63)
Asymmetric unit:
1 Ba 0.000 0.074 0.250 (multiplicity 4)
2 Ba 0.000 0.377 0.054 (multiplicity 8)
3 S 0.000 0.000 0.000 (multiplicity 4)
4 S 0.000 0.473 0.250 (multiplicity 4)
5 I 0.000 0.252 0.750 (multiplicity 4)

Largest 10 diffraction maxima, sorted by position, 5 to 70 degrees two-theta:
(hkl)	d [Å]	I_rel
1 1 2	3.779	44.9
0 2 3	3.734	55.2
1 3 0	3.606	22.3
1 3 1	3.469	100.0
0 4 2	3.368	33.2
0 0 4	3.173	25.2
1 1 3	3.141	53.4
2 0 0	2.461	62.5
1 3 5	2.075	44.6
2 2 3	2.055	21.3

---

Record 3
Starting from a DFT-relaxed cell (PBE, Alexandria), the XRD peak list of Ca2ReTe4 was calculated for copper Kα.
Intensities are scaled so that the largest is 100.

Structural model:
a = 5.443 Å, b = 5.443 Å, c = 15.441 Å
α = 90.00°, β = 90.00°, γ = 90.00°
Space group I4/mmm (No. 139)
Asymmetric unit:
1 Ca 0.000 0.000 0.127 (multiplicity 4)
2 Re 0.000 0.000 0.500 (multiplicity 2)
3 Te 0.000 0.000 0.324 (multiplicity 4)
4 Te 0.000 0.500 0.000 (multiplicity 4)

Largest 10 diffraction maxima, sorted by position, 5 to 70 degrees two-theta:
(hkl)	d [Å]	I_rel
0 0 2	7.721	68.7
1 0 1	5.134	76.4
0 0 4	3.853	40.3
1 1 2	3.445	26.1
2 0 0	2.722	100.0
1 0 5	2.686	50.7
0 0 6	2.571	47.8
2 2 0	1.925	30.9
2 1 5	1.912	37.2
2 0 6	1.870	51.5

---

Record 4
Starting from a DFT-relaxed cell (PBE, Alexandria), the XRD peak list of Np2PaSb4 was calculated for copper Kα.
Intensities are scaled so that the largest is 100.

Structural model:
a = 4.314 Å, b = 4.314 Å, c = 11.070 Å
α = 90.00°, β = 90.00°, γ = 90.00°
Space group P-4m2 (No. 115)
Asymmetric unit:
1 Np 0.000 0.500 0.221 (multiplicity 2)
2 Pa 0.000 0.000 0.500 (multiplicity 1)
3 Sb 0.000 0.000 0.000 (multiplicity 1)
4 Sb 0.000 0.500 0.697 (multiplicity 2)
5 Sb 0.500 0.500 0.000 (multiplicity 1)

Largest 10 diffraction maxima, sorted by position, 5 to 70 degrees two-theta:
(hkl)	d [Å]	I_rel
1 0 1	4.020	23.6
1 0 2	3.403	24.1
1 0 3	2.804	11.5
0 0 4	2.768	17.4
1 1 2	2.672	100.0
1 0 4	2.329	20.2
2 0 0	2.157	31.7
2 0 4	1.701	16.6
2 1 4	1.583	12.6
2 2 0	1.525	10.6

---

Record 5
Starting from a DFT-relaxed cell (PBE, Alexandria), the XRD peak list of Dy3Th2Sc3 was calculated for copper Kα.
Intensities are scaled so that the largest is 100.

Structural model:
a = 9.2536 Å, b = 9.2536 Å, c = 9.4932 Å
α = 90.00°, β = 90.00°, γ = 120.00°
Space group R32 (No. 155, hexagonal axes)
Asymmetric unit:
1 Dy 0.0000 0.2812 0.0000 (multiplicity 9)
2 Th 0.0000 0.0000 0.2664 (multiplicity 6)
3 Sc 0.0000 0.7067 0.5000 (multiplicity 9)

Largest 10 diffraction maxima, sorted by position, 5 to 70 degrees two-theta:
(hkl)	d [Å]	I_rel
1 1 0	4.627	47.4
0 1 2	4.084	36.4
2 0 2	3.062	65.6
2 1 1	2.886	28.6
3 0 0	2.671	100.0
1 1 3	2.612	55.4
1 2 2	2.553	72.6
2 3 2	1.715	38.1
4 0 4	1.531	25.0
1 1 6	1.497	24.2

---

Record 6
Starting from a DFT-relaxed cell (PBE, Alexandria), the XRD peak list of Pr2SmSn9 was calculated for copper Kα.
Intensities are scaled so that the largest is 100.

Structural model:
a = 4.763 Å, b = 4.763 Å, c = 14.438 Å
α = 90.00°, β = 90.00°, γ = 90.00°
Space group P4/mmm (No. 123)
Asymmetric unit:
1 Pr 0.000 0.000 0.168 (multiplicity 2)
2 Sm 0.000 0.000 0.500 (multiplicity 1)
3 Sn 0.000 0.500 0.000 (multiplicity 2)
4 Sn 0.000 0.500 0.336 (multiplicity 4)
5 Sn 0.500 0.500 0.168 (multiplicity 2)
6 Sn 0.500 0.500 0.500 (multiplicity 1)

Largest 8 diffraction maxima, sorted by position, 5 to 70 degrees two-theta:
(hkl)	d [Å]	I_rel
1 1 3	2.759	100.0
0 0 6	2.406	17.1
2 0 0	2.382	33.4
2 0 6	1.693	23.9
2 2 0	1.684	11.8
1 1 9	1.448	14.4
3 1 3	1.437	28.3
2 2 6	1.380	12.4

---

Record 7
Starting from a DFT-relaxed cell (PBE, Alexandria), the XRD peak list of Pu6HfO12 was calculated for copper Kα.
Intensities are scaled so that the largest is 100.

Structural model:
a = 10.0401 Å, b = 10.0401 Å, c = 9.4767 Å
α = 90.00°, β = 90.00°, γ = 120.00°
Space group R-3 (No. 148, hexagonal axes)
Asymmetric unit:
1 Pu 0.0481 0.2564 0.1551 (multiplicity 18)
2 Hf 0.0000 0.0000 0.5000 (multiplicity 3)
3 O 0.0350 0.2237 0.9003 (multiplicity 18)
4 O 0.0421 0.2002 0.3915 (multiplicity 18)

Largest 10 diffraction maxima, sorted by position, 5 to 70 degrees two-theta:
(hkl)	d [Å]	I_rel
0 0 3	3.159	34.3
2 1 1	3.105	100.0
3 -2 2	2.700	53.0
2 1 4	1.922	29.3
1 4 0	1.897	27.5
3 -2 5	1.642	15.2
1 4 3	1.627	27.2
6 -4 1	1.619	14.1
4 2 2	1.552	11.0
6 -4 4	1.350	7.9

---

Record 8
Starting from a DFT-relaxed cell (PBE, Alexandria), the XRD peak list of Li3Ga2Rh2 was calculated for copper Kα.
Intensities are scaled so that the largest is 100.

Structural model:
a = 7.353 Å, b = 4.248 Å, c = 6.646 Å
α = 90.00°, β = 111.74°, γ = 90.00°
Space group C2/m (No. 12)
Asymmetric unit:
1 Li 0.000 0.000 0.000 (multiplicity 2)
2 Li 0.144 0.000 0.433 (multiplicity 4)
3 Ga 0.218 0.500 0.155 (multiplicity 4)
4 Rh 0.078 0.500 0.736 (multiplicity 4)

Largest 10 diffraction maxima, sorted by position, 5 to 70 degrees two-theta:
(hkl)	d [Å]	I_rel
0 0 1	6.173	9.7
1 1 0	3.607	100.0
0 0 2	3.087	33.3
1 1 2	2.148	74.6
0 2 0	2.123	77.1
2 0 2	1.959	8.3
4 0 -1	1.830	14.4
3 1 -3	1.749	37.2
2 2 -3	1.511	15.8
4 2 -1	1.386	11.2

---

Record 9
Starting from a DFT-relaxed cell (PBE, Alexandria), the XRD peak list of NdZrNpN3 was calculated for copper Kα.
Intensities are scaled so that the largest is 100.

Structural model:
a = 6.959 Å, b = 3.288 Å, c = 8.569 Å
α = 90.00°, β = 94.29°, γ = 90.00°
Space group P2_1/m (No. 11)
Asymmetric unit:
1 Nd 0.145 0.250 0.155 (multiplicity 2)
2 Zr 0.372 0.750 0.860 (multiplicity 2)
3 Np 0.124 0.250 0.559 (multiplicity 2)
4 N 0.137 0.250 0.854 (multiplicity 2)
5 N 0.311 0.750 0.610 (multiplicity 2)
6 N 0.404 0.750 0.122 (multiplicity 2)

Largest 10 diffraction maxima, sorted by position, 5 to 70 degrees two-theta:
(hkl)	d [Å]	I_rel
1 0 0	6.939	83.6
1 0 -1	5.595	49.6
1 0 -2	3.766	43.7
1 1 0	2.971	28.7
0 0 3	2.848	38.4
2 0 -2	2.798	39.4
0 1 2	2.604	87.2
2 1 0	2.387	100.0
1 1 3	2.024	21.5
4 0 0	1.734	24.3